1.
This entry pairs a crystal structure of TaVIr2 with its calculated X-ray diffraction stick pattern. Radiation: copper Kα. Structure: DFT lattice parameters and positions (GGA-PBE).
Peak positions follow from Bragg's law for the DFT cell and can differ from measured ones.

Principal peaks in the range 5° ≤ 2θ ≤ 70°, in order of rising 2θ:
- 33.85 deg, 2.648 Å, I = 136, (1 0 1)
- 39.92 deg, 2.258 Å, I = 1000, (1 0 2)
- 45.29 deg, 2.002 Å, I = 364, (1 1 0)
- 48.65 deg, 1.871 Å, I = 126, (0 0 4)
- 65.98 deg, 1.416 Å, I = 119, (2 0 0)
- 68.65 deg, 1.367 Å, I = 180, (1 1 4)

Crystal structure
Cell lengths 2.832, 2.832, 7.486 Å; angles 90.00, 90.00, 90.00 degrees
Space group P4/mmm (No. 123)
One atom of each set of equivalent atoms:
Ta (0.000, 0.000, 0.000) (multiplicity 1)
V (0.000, 0.000, 0.500) (multiplicity 1)
Ir (0.500, 0.500, 0.270) (multiplicity 2)


2.
This entry pairs a crystal structure of Np2ScF11 with its calculated X-ray diffraction stick pattern. Radiation: copper Kα. Structure: DFT lattice parameters and positions (GGA-PBE).
Peak positions follow from Bragg's law for the DFT cell and can differ from measured ones.

Principal peaks in the range 5° ≤ 2θ ≤ 70°, in order of rising 2θ:
- 16.75 deg, 5.293 Å, I = 817, (0 0 2)
- 21.72 deg, 4.091 Å, I = 351, (1 1 2)
- 22.19 deg, 4.007 Å, I = 731, (1 2 1)
- 24.34 deg, 3.657 Å, I = 490, (0 2 2)
- 24.50 deg, 3.633 Å, I = 1000, (2 1 1)
- 45.54 deg, 1.992 Å, I = 358, (3 3 2)

Crystal structure
Cell lengths 8.372, 10.115, 10.586 Å; angles 90.00, 90.00, 90.00 degrees
Space group Ibam (No. 72)
One atom of each set of equivalent atoms:
Np (0.156, 0.183, 0.000) (multiplicity 8)
Sc (0.000, 0.500, 0.250) (multiplicity 4)
F (0.000, 0.000, 0.000) (multiplicity 4)
F (0.087, 0.332, 0.144) (multiplicity 16)
F (0.126, 0.210, 0.500) (multiplicity 8)
F (0.208, 0.431, 0.359) (multiplicity 16)